# Rb2H3Br
Simulated XRD peak list, a wavelength of 1.5418 Å. Input: a DFT-relaxed cell (GGA-PBE, Alexandria).
Kinematic intensities with the Lorentz-polarization factor, no thermal factor.

Atomic structure:
```
Rb2H3Br
1.0
4.8786 -4.7918 0.0000
4.8786 4.7918 0.0000
-4.7750 0.0000 7.3620
Rb H Br
4 6 2
direct
0.0408 0.3734 0.2280
0.3734 0.0408 0.7280
0.6266 0.9592 0.2720
0.9592 0.6266 0.7720
0.2659 0.5877 0.6082
0.3441 0.6559 0.7500
0.4123 0.7341 0.8918
0.5877 0.2659 0.1082
0.6559 0.3441 0.2500
0.7341 0.4123 0.3918
0.1185 0.8815 0.2500
0.8815 0.1185 0.7500
```

Principal peaks in the range 10° ≤ 2θ ≤ 90°, by intensity:
two_theta  d [Å]  I_rel
26.1  3.418  100
24.2  3.681  74
14.2  6.224  53
36.0  2.493  45
35.7  2.517  34
29.6  3.022  30
30.0  2.974  17
36.9  2.439  17
42.2  2.143  17
39.6  2.278  16